Structure and simulated powder diffraction line list of Li2TiCr3O8 (a PBE+U-relaxed structure; Cu Ka).
Kinematic intensities with the Lorentz-polarization factor, no thermal factor.

Cell and atoms:
a b c (Å): 10.3195 5.8803 5.9292
angles (deg): 90.00 123.03 90.00
Space group C2/m (No. 12)
One atom of each set of equivalent atoms:
Li 0.2500 0.2500 0.0000
Ti 0.0000 0.0000 0.5000
Cr 0.0000 0.5000 0.5000
Cr 0.2500 0.2500 0.5000
O 0.0142 0.2552 0.2967
O 0.2272 0.0000 0.7129
O 0.2289 0.5000 0.7127

Peak list (8 most intense, 10 to 90 degrees two-theta, in order of rising 2θ)
h k l  2θ/deg  d/Å  Rel. int.
0 0 1  17.84  4.971  100
4 0 -1  35.08  2.558  9
2 2 -1  35.79  2.509  22
4 0 0  41.76  2.163  20
2 2 -2  43.36  2.087  38
2 2 -3  56.85  1.620  9
2 2 2  60.92  1.521  10
6 2 -2  62.61  1.484  10